# 1
The following is a calculated powder XRD pattern of Na2LaClO2. It was derived from a crystal structure in Alexandria, relaxed with GGA-PBE, using Cu Kα, 1.54184 Å.
Lines closer than 0.1° are merged.

Largest 10 diffraction maxima, in order of rising 2θ, 2θ from 10° to 90°:
- (0 0 1), 2θ = 12.6°, 7.014 Å, I = 92
- (1 0 0), 2θ = 14.9°, 5.927 Å, I = 100
- (1 1 -1), 2θ = 22.8°, 3.904 Å, I = 79
- (0 2 0), 2θ = 29.3°, 3.053 Å, I = 47
- (0 1 2), 2θ = 29.4°, 3.041 Å, I = 77
- (2 1 -1), 2θ = 33.6°, 2.664 Å, I = 56
- (1 1 2), 2θ = 35.5°, 2.527 Å, I = 57
- (1 0 -3), 2θ = 38.3°, 2.348 Å, I = 34
- (2 2 -1), 2θ = 42.5°, 2.126 Å, I = 40
- (2 2 1), 2θ = 46.5°, 1.955 Å, I = 35

Crystal structure
Cell: 6.0603 6.1051 7.1713 Å, 90.00 102.03 90.00°
Space group P2_1/m (No. 11)
Asymmetric unit:
Na  0.0528  0.2500  0.0485
Na  0.2115  0.7500  0.6632
La  0.4981  0.7500  0.1373
Cl  0.3024  0.2500  0.4263
O  0.2623  0.5107  0.9225

---

# 2
The following is a calculated powder XRD pattern of LaNb2ClO6. It was derived from a crystal structure in Alexandria, relaxed with GGA-PBE, using Cu Kα, 1.54184 Å.
Lines closer than 0.1° are merged.

Largest 10 diffraction maxima, in order of rising 2θ, 2θ from 10° to 90°:
- (1 0 1), 2θ = 13.7°, 6.447 Å, I = 51
- (2 0 1), 2θ = 20.7°, 4.298 Å, I = 36
- (0 2 0), 2θ = 24.0°, 3.706 Å, I = 32
- (2 0 2), 2θ = 27.7°, 3.223 Å, I = 100
- (1 2 1), 2θ = 27.8°, 3.211 Å, I = 73
- (3 0 1), 2θ = 28.8°, 3.097 Å, I = 36
- (2 2 0), 2θ = 30.0°, 2.975 Å, I = 77
- (0 2 2), 2θ = 32.2°, 2.784 Å, I = 58
- (3 2 3), 2θ = 49.0°, 1.859 Å, I = 59
- (2 2 4), 2θ = 53.2°, 1.720 Å, I = 40

Crystal structure
Cell: 9.9876 7.4064 8.4409 Å, 90.00 90.00 90.00°
Space group Pnma (No. 62)
Asymmetric unit:
La  0.1759  0.2500  0.1934
Nb  0.0000  0.0000  0.5000
Nb  0.2383  0.7500  0.2350
Cl  0.1077  0.7500  0.9281
O  0.0016  0.7500  0.5805
O  0.1060  0.5553  0.3020
O  0.1698  0.2500  0.9195
O  0.1716  0.0486  0.6180

---

# 3
The following is a calculated powder XRD pattern of LaNdCl6. It was derived from a crystal structure in Alexandria, relaxed with GGA-PBE, using Cu Kα, 1.54184 Å.
Lines closer than 0.1° are merged.

Largest 10 diffraction maxima, in order of rising 2θ, 2θ from 10° to 90°:
- (0 1 2), 2θ = 17.3°, 5.136 Å, I = 100
- (1 0 4), 2θ = 23.5°, 3.780 Å, I = 38
- (1 1 0), 2θ = 25.5°, 3.499 Å, I = 13
- (2 -1 3), 2θ = 29.0°, 3.076 Å, I = 23
- (2 0 2), 2θ = 30.9°, 2.892 Å, I = 17
- (0 2 4), 2θ = 34.9°, 2.568 Å, I = 19
- (2 -1 6), 2θ = 37.9°, 2.371 Å, I = 46
- (3 -2 2), 2θ = 40.5°, 2.229 Å, I = 20
- (3 -1 4), 2θ = 43.7°, 2.070 Å, I = 17
- (3 0 0), 2θ = 44.9°, 2.020 Å, I = 22

Crystal structure
Cell: 6.9984 6.9984 19.3462 Å, 90.00 90.00 120.00°
Space group R-3 (No. 148, hexagonal axes)
Asymmetric unit:
La  0.0000  0.0000  0.0000
Nd  0.0000  0.0000  0.5000
Cl  0.0035  0.3548  0.2493

---

# 4
The following is a calculated powder XRD pattern of La2Nd4Sn3Cl2. It was derived from a crystal structure in Alexandria, relaxed with GGA-PBE, using Cu Kα, 1.54184 Å.
Lines closer than 0.1° are merged.

Largest 10 diffraction maxima, in order of rising 2θ, 2θ from 10° to 90°:
- (1 1 2), 2θ = 24.7°, 3.606 Å, I = 41
- (1 1 4), 2θ = 27.7°, 3.216 Å, I = 25
- (1 0 7), 2θ = 30.4°, 2.938 Å, I = 29
- (1 1 6), 2θ = 32.2°, 2.778 Å, I = 100
- (2 0 0), 2θ = 33.6°, 2.667 Å, I = 77
- (2 1 7), 2θ = 46.0°, 1.974 Å, I = 18
- (2 2 0), 2θ = 48.3°, 1.886 Å, I = 28
- (2 0 10), 2θ = 50.4°, 1.810 Å, I = 13
- (2 0 12), 2θ = 56.6°, 1.627 Å, I = 19
- (3 1 6), 2θ = 59.2°, 1.560 Å, I = 36

Crystal structure
Cell: 5.3331 5.3331 24.6391 Å, 90.00 90.00 90.00°
Space group I4/mmm (No. 139)
Asymmetric unit:
La  0.0000  0.0000  0.1978
Nd  0.0000  0.5000  0.0864
Sn  0.0000  0.0000  0.3303
Sn  0.0000  0.0000  0.5000
Cl  0.0000  0.0000  0.0686

---

# 5
The following is a calculated powder XRD pattern of La4NiCl5. It was derived from a crystal structure in Alexandria, relaxed with GGA-PBE, using Cu Kα, 1.54184 Å.
Lines closer than 0.1° are merged.

Largest 10 diffraction maxima, in order of rising 2θ, 2θ from 10° to 90°:
- (0 1 1), 2θ = 11.7°, 7.557 Å, I = 55
- (0 2 2), 2θ = 23.5°, 3.779 Å, I = 22
- (1 1 0), 2θ = 25.0°, 3.559 Å, I = 23
- (1 1 2), 2θ = 27.1°, 3.288 Å, I = 20
- (1 0 3), 2θ = 27.5°, 3.239 Å, I = 20
- (0 0 6), 2θ = 31.3°, 2.862 Å, I = 50
- (1 2 1), 2θ = 31.6°, 2.832 Å, I = 100
- (0 3 3), 2θ = 35.6°, 2.519 Å, I = 21
- (1 2 5), 2θ = 41.0°, 2.203 Å, I = 70
- (1 2 11), 2θ = 68.4°, 1.371 Å, I = 20

Crystal structure
Cell: 3.9281 8.4164 17.1695 Å, 90.00 90.00 90.00°
Space group Immm (No. 71)
Asymmetric unit:
La  0.0000  0.0000  0.1796
La  0.0000  0.2758  0.5000
Ni  0.0000  0.0000  0.0000
Cl  0.0000  0.2296  0.3305
Cl  0.0000  0.5000  0.0000

---

# 6
The following is a calculated powder XRD pattern of La4NiCl3. It was derived from a crystal structure in Alexandria, relaxed with GGA-PBE, using Cu Kα, 1.54184 Å.
Lines closer than 0.1° are merged.

Largest 10 diffraction maxima, in order of rising 2θ, 2θ from 10° to 90°:
- (2 0 0), 2θ = 24.7°, 3.598 Å, I = 18
- (0 0 2), 2θ = 26.3°, 3.382 Å, I = 51
- (1 2 1), 2θ = 29.7°, 3.005 Å, I = 100
- (2 0 -2), 2θ = 30.7°, 2.911 Å, I = 41
- (2 0 2), 2θ = 41.5°, 2.178 Å, I = 19
- (3 2 -1), 2θ = 42.3°, 2.138 Å, I = 30
- (0 4 0), 2θ = 43.6°, 2.075 Å, I = 17
- (1 2 -3), 2θ = 44.2°, 2.047 Å, I = 31
- (4 0 0), 2θ = 50.7°, 1.800 Å, I = 14
- (2 4 -2), 2θ = 54.3°, 1.690 Å, I = 15

Crystal structure
Cell: 7.5020 8.3020 7.0625 Å, 90.00 106.42 90.00°
Space group P2/c (No. 13)
Asymmetric unit:
La  0.2153  0.1203  0.0125
La  0.2330  0.3817  0.4907
Ni  0.0000  0.1308  0.2500
Cl  0.0000  0.3696  0.7500
Cl  0.5000  0.1295  0.7500
Cl  0.5000  0.3686  0.2500

---

# 7
The following is a calculated powder XRD pattern of La4NiCl3. It was derived from a crystal structure in Alexandria, relaxed with GGA-PBE, using Cu Kα, 1.54184 Å.
Lines closer than 0.1° are merged.

Largest 10 diffraction maxima, in order of rising 2θ, 2θ from 10° to 90°:
- (2 2 0), 2θ = 25.6°, 3.484 Å, I = 39
- (0 2 1), 2θ = 26.5°, 3.368 Å, I = 38
- (0 4 0), 2θ = 29.7°, 3.010 Å, I = 55
- (2 0 1), 2θ = 30.4°, 2.944 Å, I = 100
- (4 0 0), 2θ = 42.3°, 2.136 Å, I = 18
- (2 4 1), 2θ = 43.0°, 2.105 Å, I = 75
- (0 0 2), 2θ = 44.6°, 2.032 Å, I = 18
- (4 4 0), 2θ = 52.5°, 1.742 Å, I = 18
- (0 4 2), 2θ = 54.5°, 1.684 Å, I = 19
- (4 4 2), 2θ = 71.3°, 1.322 Å, I = 17

Crystal structure
Cell: 8.5428 12.0417 4.0635 Å, 90.00 90.00 90.00°
Space group Cmmm (No. 65)
Asymmetric unit:
La  0.0000  0.2451  0.0000
La  0.2253  0.0000  0.5000
Ni  0.0000  0.0000  0.0000
Cl  0.0000  0.5000  0.0000
Cl  0.2500  0.2500  0.5000

---

# 8
The following is a calculated powder XRD pattern of La8Ni3OsCl4. It was derived from a crystal structure in Alexandria, relaxed with GGA-PBE, using Cu Kα, 1.54184 Å.
Lines closer than 0.1° are merged.

Largest 10 diffraction maxima, in order of rising 2θ, 2θ from 10° to 90°:
- (0 0 3), 2θ = 11.6°, 7.630 Å, I = 36
- (2 0 2), 2θ = 26.1°, 3.409 Å, I = 17
- (0 2 4), 2θ = 29.5°, 3.030 Å, I = 100
- (0 2 7), 2θ = 37.3°, 2.412 Å, I = 19
- (2 0 8), 2θ = 40.4°, 2.233 Å, I = 30
- (2 2 0), 2θ = 43.9°, 2.062 Å, I = 37
- (2 0 11), 2θ = 50.8°, 1.798 Å, I = 13
- (4 0 4), 2θ = 53.8°, 1.705 Å, I = 18
- (2 4 4), 2θ = 71.9°, 1.314 Å, I = 15
- (2 2 15), 2θ = 77.9°, 1.227 Å, I = 9

Crystal structure
Cell: 8.2481 8.2481 22.8892 Å, 90.00 90.00 120.00°
Space group R-3m (No. 166, hexagonal axes)
Asymmetric unit:
La  0.0000  0.0000  0.2332
La  0.0032  0.5016  0.2351
Ni  0.0000  0.5000  0.5000
Os  0.0000  0.0000  0.5000
Cl  0.0000  0.0000  0.0000
Cl  0.0000  0.5000  0.0000

---

# 9
The following is a calculated powder XRD pattern of La6NiP2Cl3. It was derived from a crystal structure in Alexandria, relaxed with GGA-PBE, using Cu Kα, 1.54184 Å.
Lines closer than 0.1° are merged.

Largest 10 diffraction maxima, in order of rising 2θ, 2θ from 10° to 90°:
- (2 0 2), 2θ = 25.2°, 3.528 Å, I = 43
- (3 1 0), 2θ = 26.2°, 3.398 Å, I = 44
- (6 0 0), 2θ = 29.4°, 3.038 Å, I = 55
- (1 1 -2), 2θ = 30.0°, 2.978 Å, I = 100
- (2 0 -4), 2θ = 41.7°, 2.167 Å, I = 16
- (5 1 2), 2θ = 42.5°, 2.126 Å, I = 73
- (0 2 0), 2θ = 44.2°, 2.050 Å, I = 18
- (4 0 4), 2θ = 51.8°, 1.764 Å, I = 16
- (6 2 0), 2θ = 54.0°, 1.699 Å, I = 19
- (11 1 2), 2θ = 69.5°, 1.353 Å, I = 15

Crystal structure
Cell: 18.7368 4.0990 8.6662 Å, 90.00 103.40 90.00°
Space group C2/m (No. 12)
Asymmetric unit:
La  0.0072  0.0000  0.2197
La  0.1678  0.5000  0.0937
La  0.1725  0.5000  0.5666
Ni  0.0000  0.5000  0.0000
P  0.1684  0.0000  0.3309
Cl  0.0000  0.5000  0.5000
Cl  0.1613  0.0000  0.8224

---

# 10
The following is a calculated powder XRD pattern of LaCl3O3. It was derived from a crystal structure in Alexandria, relaxed with GGA-PBE, using Cu Kα, 1.54184 Å.
Lines closer than 0.1° are merged.

Largest 10 diffraction maxima, in order of rising 2θ, 2θ from 10° to 90°:
- (1 0 0), 2θ = 14.0°, 6.342 Å, I = 100
- (1 0 1), 2θ = 26.2°, 3.399 Å, I = 25
- (2 0 0), 2θ = 28.1°, 3.171 Å, I = 9
- (1 1 1), 2θ = 33.1°, 2.709 Å, I = 44
- (2 0 1), 2θ = 36.1°, 2.491 Å, I = 22
- (2 1 0), 2θ = 37.5°, 2.397 Å, I = 12
- (3 0 0), 2θ = 42.8°, 2.114 Å, I = 17
- (2 1 1), 2θ = 44.0°, 2.060 Å, I = 23
- (1 0 2), 2θ = 47.4°, 1.919 Å, I = 9
- (3 0 2), 2θ = 63.9°, 1.458 Å, I = 9

Crystal structure
Cell: 7.3236 7.3236 4.0259 Å, 90.00 90.00 120.00°
Space group P-62m (No. 189)
Asymmetric unit:
La  0.0000  0.0000  0.0000
Cl  0.0000  0.7113  0.5000
O  0.0000  0.3381  0.0000

---

# 11
The following is a calculated powder XRD pattern of LaPb6ClO7. It was derived from a crystal structure in Alexandria, relaxed with GGA-PBE, using Cu Kα, 1.54184 Å.
Lines closer than 0.1° are merged.

Largest 10 diffraction maxima, in order of rising 2θ, 2θ from 10° to 90°:
- (2 2 -1), 2θ = 24.2°, 3.682 Å, I = 15
- (2 0 -3), 2θ = 26.9°, 3.310 Å, I = 24
- (4 0 1), 2θ = 27.6°, 3.238 Å, I = 41
- (4 0 -3), 2θ = 27.7°, 3.222 Å, I = 28
- (4 2 -1), 2θ = 28.8°, 3.100 Å, I = 100
- (0 2 2), 2θ = 29.7°, 3.008 Å, I = 52
- (0 4 0), 2θ = 44.1°, 2.052 Å, I = 19
- (6 2 -4), 2θ = 44.5°, 2.038 Å, I = 16
- (8 2 0), 2θ = 48.9°, 1.862 Å, I = 18
- (4 4 1), 2θ = 52.9°, 1.732 Å, I = 22

Crystal structure
Cell: 18.9177 8.2075 10.0067 Å, 90.00 117.92 90.00°
Space group C2/m (No. 12)
Asymmetric unit:
La  0.2500  0.2500  0.0000
Pb  0.0538  0.0000  0.8279
Pb  0.0624  0.5000  0.7650
Pb  0.1357  0.2331  0.5707
Pb  0.1515  0.5000  0.1975
Pb  0.1972  0.0000  0.2617
Cl  0.0000  0.2641  0.0000
O  0.1093  0.2216  0.7630
O  0.1554  0.5000  0.6330
O  0.1688  0.5000  0.9886
O  0.1790  0.0000  0.0268
O  0.2384  0.2815  0.2518

---

# 12
The following is a calculated powder XRD pattern of LaPuClO4. It was derived from a crystal structure in Alexandria, relaxed with GGA-PBE, using Cu Kα, 1.54184 Å.
Lines closer than 0.1° are merged.

Largest 10 diffraction maxima, in order of rising 2θ, 2θ from 10° to 90°:
- (1 1 0), 2θ = 14.3°, 6.175 Å, I = 22
- (2 0 -1), 2θ = 18.6°, 4.780 Å, I = 48
- (1 1 -1), 2θ = 19.4°, 4.568 Å, I = 100
- (1 1 1), 2θ = 20.4°, 4.347 Å, I = 22
- (0 2 0), 2θ = 25.2°, 3.529 Å, I = 74
- (3 1 1), 2θ = 29.2°, 3.056 Å, I = 88
- (4 0 -1), 2θ = 30.0°, 2.982 Å, I = 22
- (1 1 -2), 2θ = 30.7°, 2.911 Å, I = 34
- (5 1 -2), 2θ = 44.9°, 2.019 Å, I = 27
- (3 3 1), 2θ = 47.0°, 1.933 Å, I = 28

Crystal structure
Cell: 12.8256 7.0570 6.4630 Å, 90.00 95.89 90.00°
Space group C2/m (No. 12)
Asymmetric unit:
La  0.1816  0.0000  0.4438
Pu  0.1319  0.5000  0.0909
Cl  0.0374  0.0000  0.7573
O  0.0040  0.5000  0.2054
O  0.1998  0.3111  0.3118
O  0.2444  0.5000  0.9379